For V5ZnFe6, DFT lattice parameters and positions (GGA-PBE) gives the computed X-ray diffraction stick pattern in this record (Cu Kα (weighted mean of Kα1 and Kα2)).

Structural model:
Lattice parameters (Å, degrees): 4.0534 5.7491 12.1154 90.00 90.00 90.00
Space group Immm (No. 71)
Asymmetric unit:
V: 0.0000 0.0000 0.0000 [2 per cell]
V: 0.0000 0.0000 0.3374 [4 per cell]
V: 0.0000 0.5000 0.3333 [4 per cell]
Zn: 0.0000 0.5000 0.0000 [2 per cell]
Fe: 0.0000 0.2449 0.1711 [8 per cell]
Fe: 0.0000 0.2598 0.5000 [4 per cell]

The 4 most intense peaks (2θ = 10–80°), by intensity:
- 2.028 Å, 44.7°, intensity 1000
- 2.019 Å, 44.9°, intensity 196
- 1.430 Å, 65.2°, intensity 116
- 1.437 Å, 64.9°, intensity 59